No. 1
This entry pairs a crystal structure of HfNCl with its simulated XRD peak list. Radiation: Cu Kα (λ = 1.5418 Å). Structure: a PBE-relaxed structure.
Kinematic intensities with the Lorentz-polarization factor, no thermal factor.

Structure:
```
data_HfNCl
_cell_length_a 3.5823
_cell_length_b 3.5823
_cell_length_c 29.6203
_cell_angle_alpha 90.00
_cell_angle_beta 90.00
_cell_angle_gamma 120.00
_space_group_name_H-M_alt 'R -3 m'
_space_group_IT_number 166
_space_group_name_Hall '-R 3 2"'
loop_
_atom_site_label
_atom_site_fract_x
_atom_site_fract_y
_atom_site_fract_z
Hf1 0.0000 0.0000 0.1225
N1 0.0000 0.0000 0.1961
Cl1 0.0000 0.0000 0.3944
```

Most intense lines, 10° ≤ 2θ ≤ 90°, low angle first:
- d = 3.086 Å, 28.9 deg, rel. 30, hkl 1 0 1
- d = 2.861 Å, 31.3 deg, rel. 100, hkl 1 0 4
- d = 2.378 Å, 37.8 deg, rel. 48, hkl 0 1 8
- d = 1.791 Å, 51.0 deg, rel. 30, hkl 1 1 0
- d = 1.519 Å, 61.0 deg, rel. 22, hkl 0 2 4
- d = 1.450 Å, 64.3 deg, rel. 20, hkl 1 1 12



No. 2
This entry pairs a crystal structure of Ti2CuNi with its simulated XRD peak list. Radiation: Cu Kα (λ = 1.5418 Å). Structure: a PBE-relaxed structure.
Kinematic intensities with the Lorentz-polarization factor, no thermal factor.

Structure:
```
data_Ti2CuNi
_cell_length_a 3.043
_cell_length_b 3.043
_cell_length_c 6.055
_cell_angle_alpha 90.00
_cell_angle_beta 90.00
_cell_angle_gamma 90.00
_space_group_name_H-M_alt 'P 4/m m m'
_space_group_IT_number 123
_space_group_name_Hall '-P 4 2'
loop_
_atom_site_label
_atom_site_fract_x
_atom_site_fract_y
_atom_site_fract_z
Ti1 0.000 0.000 0.243
Cu1 0.500 0.500 0.500
Ni1 0.500 0.500 0.000
```

Most intense lines, 10° ≤ 2θ ≤ 90°, low angle first:
- d = 2.151 Å, 42.0 deg, rel. 51, hkl 1 1 0
- d = 2.146 Å, 42.1 deg, rel. 100, hkl 1 0 2
- d = 1.521 Å, 60.9 deg, rel. 15, hkl 2 0 0
- d = 1.514 Å, 61.2 deg, rel. 7, hkl 0 0 4
- d = 1.241 Å, 76.8 deg, rel. 29, hkl 2 1 2
- d = 1.238 Å, 77.0 deg, rel. 14, hkl 1 1 4